# Nd7SmCd3
Theoretical powder XRD pattern, λ = 1.5418 Å (Cu Kα). Input: a DFT-relaxed cell (PBE, Alexandria).

Main lines, in order of rising 2θ (15° ≤ 2θ ≤ 90°):
- 24.2°, I = 13
- 27.1°, I = 14
- 27.3°, I = 21
- 30.2°, I = 100
- 32.4°, I = 30
- 33.9°, I = 98
- 41.1°, I = 14
- 43.2°, I = 32
- 56.0°, I = 23
- 63.0°, I = 22

Structural model:
```
data_Nd7SmCd3
_cell_length_a 5.9215
_cell_length_b 10.2079
_cell_length_c 11.8742
_cell_angle_alpha 90.00
_cell_angle_beta 90.00
_cell_angle_gamma 90.00
_symmetry_space_group_name_H-M 'I m m m'
_symmetry_Int_Tables_number 71
_symmetry_space_group_name_Hall '-I 2 2'
loop_
_atom_site_label
_atom_site_type_symbol
_atom_site_fract_x
_atom_site_fract_y
_atom_site_fract_z
Nd1 Nd 0.0000 0.0000 0.0000
Nd2 Nd 0.0000 0.1751 0.5000
Nd3 Nd 0.0000 0.3209 0.2144
Sm1 Sm 0.0000 0.5000 0.5000
Cd1 Cd 0.0000 0.0000 0.2691
Cd2 Cd 0.0000 0.5000 0.0000
```